Computed X-ray powder pattern of NaYNbP3O12 for CuKα, from a DFT-relaxed cell (GGA-PBE, the Materials Project).
Peak positions follow from Bragg's law for the DFT cell and can differ from measured ones.

Structural model:
abc: 9.0124 9.0124 23.1979
angles: 90.00 90.00 120.00
Space group R3c (No. 161, hexagonal axes)
Unique sites:
Na: 0.0000 0.0000 0.0000
Y: 0.0000 0.0000 0.3577
Nb: 0.0000 0.0000 0.1507
P: 0.0158 0.3003 0.2535
O: 0.0328 0.2006 0.1987
O: 0.1336 0.4640 0.5801
O: 0.1369 0.4622 0.9734
O: 0.1892 0.4764 0.2587

Largest 10 diffraction maxima, by intensity, 2θ from 15° to 90°:
- 2θ = 30.47°, I 100, hkl 1 1 6
- 2θ = 19.70°, I 95, hkl 1 1 0
- 2θ = 22.84°, I 89, hkl 1 1 3
- 2θ = 19.07°, I 75, hkl 1 0 4
- 2θ = 27.55°, I 49, hkl 0 2 4
- 2θ = 34.47°, I 42, hkl 3 0 0
- 2θ = 46.66°, I 31, hkl 2 2 6
- 2θ = 53.83°, I 28, hkl 4 1 0
- 2θ = 50.02°, I 25, hkl 2 1 10
- 2θ = 34.10°, I 20, hkl 2 1 4